Entry 1:
Diffraction record for CsMnTe2. The PXRD pattern is calculated, not measured: it uses the GGA-PBE geometry in Alexandria and copper Kα.
No peak broadening, texture or thermal motion is included.

Cell and atoms:
Unit cell a=8.492 b=12.769 c=5.296 alpha=90.00 beta=90.00 gamma=90.00
Space group Pna2_1 (No. 33)
Unique sites:
Cs1 0.143 0.116 0.000 x4
Mn1 0.049 0.370 0.501 x4
Te1 0.101 0.440 0.001 x4
Te2 0.153 0.793 0.000 x4

Most intense lines, 2θ = 15–90°, in order of rising 2θ:
| (hkl) | two_theta | Rel. int. |
| --- | --- | --- |
| 2 0 1 | 26.90 | 100 |
| 1 3 1 | 28.89 | 29 |
| 2 3 0 | 29.72 | 42 |
| 0 0 2 | 33.85 | 29 |
| 2 3 2 | 45.66 | 25 |
| 1 6 1 | 47.26 | 18 |

Entry 2:
Diffraction record for Cs2UMnTe4. The PXRD pattern is calculated, not measured: it uses the GGA-PBE geometry in Alexandria and copper Kα.
No peak broadening, texture or thermal motion is included.

Cell and atoms:
Unit cell a=4.689 b=19.532 c=30.584 alpha=90.00 beta=90.00 gamma=90.00
Space group Fddd (No. 70, origin choice 2)
Unique sites:
Cs1 0.125 0.125 0.286 x16
U1 0.125 0.125 0.125 x8
Mn1 0.125 0.125 0.625 x8
Te1 0.042 0.283 0.816 x32

Most intense lines, 2θ = 15–90°, in order of rising 2θ:
| (hkl) | two_theta | Rel. int. |
| --- | --- | --- |
| 0 2 6 | 19.65 | 90 |
| 1 3 1 | 23.56 | 83 |
| 1 3 3 | 24.98 | 62 |
| 1 3 5 | 27.61 | 98 |
| 1 1 7 | 28.29 | 91 |
| 0 6 6 | 32.64 | 100 |

Entry 3:
Diffraction record for CsUMnTe4. The PXRD pattern is calculated, not measured: it uses the GGA-PBE geometry in Alexandria and copper Kα.
No peak broadening, texture or thermal motion is included.

Cell and atoms:
Unit cell a=7.148 b=7.139 c=10.670 alpha=90.00 beta=109.55 gamma=90.00
Space group P2_1/m (No. 11)
Unique sites:
Cs1 0.231 0.250 0.047 x2
U1 0.234 0.250 0.549 x2
Mn1 0.236 0.750 0.345 x2
Te1 0.030 0.514 0.698 x4
Te2 0.433 0.750 0.181 x2
Te3 0.454 0.750 0.591 x2

Most intense lines, 2θ = 15–90°, in order of rising 2θ:
| (hkl) | two_theta | Rel. int. |
| --- | --- | --- |
| 1 1 0 | 18.11 | 32 |
| 2 0 -2 | 26.47 | 30 |
| 1 1 2 | 28.33 | 100 |
| 2 1 -2 | 29.33 | 45 |
| 0 2 2 | 30.71 | 36 |
| 2 2 0 | 36.72 | 42 |

Entry 4:
Diffraction record for CsMnVTe3. The PXRD pattern is calculated, not measured: it uses the GGA-PBE geometry in Alexandria and copper Kα.
No peak broadening, texture or thermal motion is included.

Cell and atoms:
Unit cell a=9.715 b=4.058 c=10.692 alpha=90.00 beta=114.39 gamma=90.00
Space group P2_1/m (No. 11)
Unique sites:
Cs1 0.012 0.250 0.265 x2
Mn1 0.468 0.750 0.377 x2
V1 0.467 0.250 0.163 x2
Te1 0.256 0.750 0.130 x2
Te2 0.332 0.750 0.560 x2
Te3 0.352 0.250 0.875 x2

Most intense lines, 2θ = 15–90°, in order of rising 2θ:
| (hkl) | two_theta | Rel. int. |
| --- | --- | --- |
| 2 0 -3 | 26.51 | 24 |
| 1 1 1 | 27.29 | 30 |
| 2 1 -1 | 28.66 | 100 |
| 3 0 0 | 30.35 | 29 |
| 0 2 0 | 44.66 | 22 |
| 3 1 -5 | 49.57 | 22 |

Number 4 is which compound? CsMnVTe3